[1]
# Ho4TeS3
Calculated XRD peak list, copper Kα. Input: a cell relaxed with GGA-PBE.
Peak positions follow from Bragg's law for the DFT cell and can differ from measured ones.

Atomic structure:
abc: 3.9514 3.9514 26.6843
angles: 90.00 90.00 120.00
Sites, in units of the cell vectors:
Ho 0.0000 0.0000 0.1720
Ho 0.0000 0.0000 0.3280
Ho 0.0000 0.0000 0.6720
Ho 0.0000 0.0000 0.8280
Ho 0.3333 0.6667 0.0615
Ho 0.3333 0.6667 0.4385
Ho 0.6667 0.3333 0.5615
Ho 0.6667 0.3333 0.9385
Te 0.3333 0.6667 0.2500
Te 0.6667 0.3333 0.7500
S 0.0000 0.0000 0.0000
S 0.0000 0.0000 0.5000
S 0.3333 0.6667 0.6166
S 0.3333 0.6667 0.8834
S 0.6667 0.3333 0.1166
S 0.6667 0.3333 0.3834

Top 10 peaks for 2θ = 10–80°, low angle first:
d/Å  2θ/deg  I_rel  index
3.394  26.26  19  1 0 1
3.315  26.90  25  1 0 2
2.881  31.04  66  1 0 5
2.712  33.03  100  1 0 6
1.977  45.91  77  1 1 0
1.699  53.96  14  1 1 8
1.629  56.48  12  2 0 5
1.597  57.73  20  2 0 6
1.274  74.46  11  1 1 16
1.242  76.73  21  2 1 6

***

[2]
# CoPt6W
Calculated XRD peak list, copper Kα. Input: a cell relaxed with GGA-PBE.
Peak positions follow from Bragg's law for the DFT cell and can differ from measured ones.

Atomic structure:
abc: 8.8666 3.9035 7.7943
angles: 90.00 116.11 90.00
Sites, in units of the cell vectors:
Co 0.0000 0.0000 0.0000
Co 0.5000 0.5000 0.0000
Pt 0.0013 0.5000 0.7491
Pt 0.2502 0.0000 0.3743
Pt 0.2496 0.0000 0.8763
Pt 0.2504 0.5000 0.1237
Pt 0.2498 0.5000 0.6257
Pt 0.4987 0.0000 0.2509
Pt 0.5013 0.0000 0.7491
Pt 0.7504 0.0000 0.1237
Pt 0.7498 0.0000 0.6257
Pt 0.7502 0.5000 0.3743
Pt 0.7496 0.5000 0.8763
Pt 0.9987 0.5000 0.2509
W 0.0000 0.0000 0.5000
W 0.5000 0.5000 0.5000

Top 10 peaks for 2θ = 10–80°, low angle first:
d/Å  2θ/deg  I_rel  index
6.999  12.65  3  0 0 1
4.388  20.24  1  2 0 -1
3.981  22.33  1  2 0 0
3.503  25.43  3  2 0 -2
2.267  39.76  100  1 1 2
2.194  41.14  1  2 0 2
1.990  45.58  17  4 0 0
1.950  46.57  32  0 2 0
1.393  67.21  22  4 2 0
1.379  67.98  10  2 2 -4

***

[3]
# Tl3Te2Se2
Calculated XRD peak list, copper Kα. Input: a cell relaxed with GGA-PBE.
Peak positions follow from Bragg's law for the DFT cell and can differ from measured ones.

Atomic structure:
abc: 4.9758 5.2184 9.6796
angles: 93.58 102.03 102.63
Sites, in units of the cell vectors:
Tl 0.0000 0.0000 0.0000
Tl 0.4241 0.7877 0.2935
Tl 0.5759 0.2123 0.7065
Te 0.0462 0.2593 0.4415
Te 0.9538 0.7407 0.5585
Se 0.3637 0.5706 0.8972
Se 0.6363 0.4294 0.1028

Top 10 peaks for 2θ = 10–80°, low angle first:
d/Å  2θ/deg  I_rel  index
3.795  23.44  26  1 0 -2
3.519  25.31  41  1 -1 1
3.192  27.96  100  -1 1 2
3.163  28.21  82  1 1 -1
3.009  29.69  79  1 0 2
2.811  31.83  62  0 1 -3
2.402  37.44  34  1 -2 1
2.376  37.86  38  0 2 1
2.366  38.03  57  2 -1 0
2.046  44.27  27  0 1 4

***

[4]
# LaDySeS
Calculated XRD peak list, copper Kα. Input: a cell relaxed with GGA-PBE.
Peak positions follow from Bragg's law for the DFT cell and can differ from measured ones.

Atomic structure:
abc: 4.0833 4.0833 20.4598
angles: 90.00 90.00 120.00
Sites, in units of the cell vectors:
La 0.0000 0.0000 0.0000
La 0.3333 0.6667 0.6667
La 0.6667 0.3333 0.3333
Dy 0.0000 0.0000 0.4858
Dy 0.3333 0.6667 0.1525
Dy 0.6667 0.3333 0.8191
Se 0.0000 0.0000 0.2370
Se 0.3333 0.6667 0.9037
Se 0.6667 0.3333 0.5704
S 0.0000 0.0000 0.7501
S 0.3333 0.6667 0.4168
S 0.6667 0.3333 0.0834

Top 10 peaks for 2θ = 10–80°, low angle first:
d/Å  2θ/deg  I_rel  index
3.410  26.13  9  0 0 6
3.342  26.67  29  0 1 2
2.909  30.74  100  1 0 4
2.072  43.68  34  0 1 8
2.042  44.37  37  1 1 0
1.752  52.22  9  1 1 6
1.671  54.95  19  0 2 4
1.454  64.02  11  2 0 8
1.309  72.18  13  1 1 12
1.293  73.19  16  2 1 4